Record 1
The following is a computed X-ray powder pattern of TbYNi8B2. It was derived from a cell relaxed with GGA-PBE, using Cu Kα (weighted mean of Kα1 and Kα2).
Kinematic intensities with the Lorentz-polarization factor, no thermal factor.

Largest 10 diffraction maxima, in order of falling intensity, 2θ from 5° to 70°:
44.6 deg, I 100; 41.7 deg, I 76; 33.0 deg, I 76; 38.3 deg, I 29; 35.9 deg, I 25; 62.7 deg, I 23; 38.7 deg, I 21; 58.2 deg, I 14; 69.2 deg, I 14; 52.5 deg, I 13

Structural model:
```
TbYNi8B2
1.0
4.9980 0.0000 0.0000
-2.4990 4.3284 0.0000
0.0000 0.0000 6.9770
Tb Y Ni B
1 1 8 2
direct
0.0000 0.0000 0.0000
0.0000 0.0000 0.5000
0.0000 0.5000 0.2923
0.0000 0.5000 0.7077
0.3333 0.6667 0.0000
0.5000 0.0000 0.2923
0.5000 0.0000 0.7077
0.5000 0.5000 0.2923
0.5000 0.5000 0.7077
0.6667 0.3333 0.0000
0.3333 0.6667 0.5000
0.6667 0.3333 0.5000
```

Record 2
The following is a computed X-ray powder pattern of Nd4GeO8. It was derived from a cell relaxed with GGA-PBE, using Cu Kα (weighted mean of Kα1 and Kα2).
Kinematic intensities with the Lorentz-polarization factor, no thermal factor.

Largest 10 diffraction maxima, in order of falling intensity, 2θ from 5° to 70°:
29.0 deg, I 100; 29.4 deg, I 95; 31.2 deg, I 65; 44.7 deg, I 47; 58.0 deg, I 29; 54.6 deg, I 22; 48.8 deg, I 17; 50.4 deg, I 15; 54.3 deg, I 15; 54.1 deg, I 14

Structural model:
```
Nd4GeO8
1.0
7.4657 0.0000 0.0000
0.0000 5.7395 0.0000
0.0000 0.0000 17.9363
Nd Ge O
16 4 32
direct
0.0000 0.2064 0.0000
0.0000 0.2294 0.7955
0.0000 0.7706 0.2955
0.0000 0.7936 0.5000
0.2411 0.2739 0.3848
0.2411 0.7261 0.8848
0.2590 0.2300 0.1785
0.2590 0.7700 0.6785
0.5000 0.2661 0.7677
0.5000 0.2913 0.5634
0.5000 0.7087 0.0634
0.5000 0.7339 0.2677
0.7410 0.2300 0.1785
0.7410 0.7700 0.6785
0.7589 0.2739 0.3848
0.7589 0.7261 0.8848
0.0000 0.2588 0.5899
0.0000 0.7412 0.0899
0.5000 0.2401 0.9738
0.5000 0.7599 0.4738
0.0000 0.0217 0.3978
0.0000 0.0532 0.6650
0.0000 0.4472 0.1208
0.0000 0.4712 0.9077
0.0000 0.5288 0.4077
0.0000 0.5528 0.6208
0.0000 0.9468 0.1650
0.0000 0.9783 0.8978
0.1903 0.1761 0.5363
0.1903 0.8239 0.0363
0.2306 0.4945 0.2756
0.2306 0.5055 0.7756
0.2695 0.0108 0.2876
0.2695 0.9892 0.7876
0.3097 0.3231 0.0273
0.3097 0.6769 0.5273
0.5000 0.0261 0.6554
0.5000 0.0535 0.4426
0.5000 0.4448 0.8985
0.5000 0.4816 0.1657
0.5000 0.5184 0.6657
0.5000 0.5552 0.3985
0.5000 0.9465 0.9426
0.5000 0.9739 0.1554
0.6903 0.3231 0.0273
0.6903 0.6769 0.5273
0.7305 0.0108 0.2876
0.7305 0.9892 0.7876
0.7694 0.4945 0.2756
0.7694 0.5055 0.7756
0.8097 0.1761 0.5363
0.8097 0.8239 0.0363
```

Record 3
The following is a computed X-ray powder pattern of CsAg2SbS3. It was derived from a cell relaxed with GGA-PBE, using Cu Kα (weighted mean of Kα1 and Kα2).
Kinematic intensities with the Lorentz-polarization factor, no thermal factor.

Largest 10 diffraction maxima, in order of falling intensity, 2θ from 5° to 70°:
27.6 deg, I 100; 8.7 deg, I 51; 28.3 deg, I 44; 29.1 deg, I 39; 48.7 deg, I 38; 27.3 deg, I 35; 26.4 deg, I 35; 27.0 deg, I 32; 31.9 deg, I 31; 31.0 deg, I 26

Structural model:
```
CsAg2SbS3
1.0
6.8309 0.0000 0.0000
0.4055 10.1325 0.0000
0.4073 0.0104 11.2354
Cs Ag Sb S
4 8 4 12
direct
0.1945 0.0693 0.1328
0.3043 0.9233 0.6284
0.6957 0.0767 0.3716
0.8055 0.9307 0.8672
0.0038 0.7464 0.3572
0.0772 0.6480 0.0474
0.4169 0.3507 0.5517
0.4882 0.6055 0.8381
0.5118 0.3945 0.1619
0.5831 0.6493 0.4483
0.9228 0.3520 0.9526
0.9962 0.2536 0.6428
0.0312 0.4470 0.3525
0.4675 0.3092 0.8442
0.5325 0.6908 0.1558
0.9688 0.5530 0.6475
0.1343 0.4175 0.1412
0.1562 0.2297 0.4319
0.1618 0.1866 0.8363
0.3291 0.5814 0.6400
0.3629 0.8087 0.3264
0.3679 0.7886 0.9798
0.6321 0.2114 0.0202
0.6371 0.1913 0.6736
0.6709 0.4186 0.3600
0.8382 0.8134 0.1637
0.8438 0.7703 0.5681
0.8657 0.5825 0.8588
```

Record 4
The following is a computed X-ray powder pattern of Gd2TmSn3Pd2Pt. It was derived from a cell relaxed with GGA-PBE, using Cu Kα (weighted mean of Kα1 and Kα2).
Kinematic intensities with the Lorentz-polarization factor, no thermal factor.

Largest 10 diffraction maxima, in order of falling intensity, 2θ from 5° to 70°:
35.5 deg, I 100; 32.6 deg, I 93; 41.3 deg, I 30; 45.5 deg, I 27; 36.2 deg, I 27; 63.1 deg, I 26; 66.5 deg, I 24; 43.0 deg, I 24; 59.5 deg, I 19; 41.4 deg, I 15

Structural model:
```
Gd2TmSn3Pd2Pt
1.0
3.9891 0.0000 0.0000
0.0000 6.5389 3.7908
0.0000 -6.5389 3.7908
Gd Tm Sn Pd Pt
2 1 3 2 1
direct
0.0000 0.2020 0.7980
0.0000 0.7980 0.2020
0.0000 0.6045 0.6045
0.5000 0.2032 0.4626
0.5000 0.4626 0.2032
0.5000 0.9429 0.9429
0.5000 0.5371 0.8647
0.5000 0.8647 0.5371
0.0000 0.2053 0.2053
```

Record 5
The following is a computed X-ray powder pattern of Sm5Cu2. It was derived from a cell relaxed with GGA-PBE, using Cu Kα (weighted mean of Kα1 and Kα2).
Kinematic intensities with the Lorentz-polarization factor, no thermal factor.

Largest 10 diffraction maxima, in order of falling intensity, 2θ from 5° to 70°:
29.9 deg, I 100; 32.3 deg, I 31; 32.0 deg, I 31; 34.6 deg, I 28; 32.1 deg, I 27; 29.2 deg, I 26; 35.3 deg, I 25; 54.7 deg, I 21; 36.2 deg, I 20; 54.9 deg, I 20

Structural model:
```
Sm5Cu2
1.0
8.3991 -3.3083 0.0000
8.3991 3.3083 0.0000
-0.6838 0.0000 6.8998
Sm Cu
10 4
direct
0.0620 0.9380 0.7500
0.1525 0.2870 0.2948
0.2870 0.1525 0.7948
0.2965 0.5147 0.0589
0.4853 0.7035 0.4411
0.5147 0.2965 0.5589
0.7035 0.4853 0.9411
0.7130 0.8475 0.2052
0.8475 0.7130 0.7052
0.9380 0.0620 0.2500
0.0887 0.6914 0.4365
0.3086 0.9113 0.0635
0.6914 0.0887 0.9365
0.9113 0.3086 0.5635
```

Record 6
The following is a computed X-ray powder pattern of SrPrSi2. It was derived from a cell relaxed with GGA-PBE, using Cu Kα (weighted mean of Kα1 and Kα2).
Kinematic intensities with the Lorentz-polarization factor, no thermal factor.

Largest 10 diffraction maxima, in order of falling intensity, 2θ from 5° to 70°:
25.1 deg, I 100; 29.3 deg, I 93; 36.3 deg, I 71; 21.0 deg, I 60; 33.1 deg, I 59; 36.9 deg, I 52; 31.1 deg, I 45; 50.3 deg, I 42; 27.9 deg, I 41; 49.0 deg, I 25

Structural model:
```
SrPrSi2
1.0
2.7103 -8.4629 0.0000
2.7103 8.4629 0.0000
0.0000 0.0000 4.8770
Sr Pr Si
2 2 4
direct
0.1575 0.8425 0.7500
0.8425 0.1575 0.2500
0.3884 0.6116 0.7500
0.6116 0.3884 0.2500
0.0208 0.9792 0.2500
0.2637 0.7363 0.2500
0.7363 0.2637 0.7500
0.9792 0.0208 0.7500
```